Diffraction record for AlTlSi3O8. The powder diffraction line list is computed, not measured: it uses DFT lattice parameters and positions (PBE) and copper Kα.

Most intense lines, 2θ from 10° to 90°, by intensity:
h k l, Position (°2θ), I/Imax
1 1 -2, 23.87, 100
0 1 -1, 13.51, 95
0 1 1, 22.01, 87
0 2 0, 26.35, 87
0 0 2, 25.50, 86
2 0 -1, 25.05, 77
2 -1 0, 25.29, 70
1 2 -1, 29.49, 62
-2 2 1, 33.42, 60
1 -1 1, 19.08, 55

Structure:
a b c (Å): 7.3539 7.7951 8.1005
angles (deg): 111.20 105.01 103.64
Space group P-1 (No. 2)
Inequivalent atoms, fractional coordinates:
Al: 0.2166 0.3222 0.2046 x2
Tl: 0.1489 0.8017 0.2791 x2
Si: 0.2343 0.6996 0.8253 x2
Si: 0.3390 0.1057 0.8472 x2
Si: 0.3522 0.3378 0.6038 x2
O: 0.0202 0.6506 0.8505 x2
O: 0.2194 0.1707 0.9845 x2
O: 0.2440 0.4970 0.6791 x2
O: 0.2585 0.2267 0.3716 x2
O: 0.2729 0.8636 0.7427 x2
O: 0.2817 0.1629 0.6696 x2
O: 0.4039 0.5587 0.3032 x2
O: 0.4137 0.7919 0.0389 x2